(1)
Li4TiCrO6: theoretical powder diffraction line list (Cu Kα (weighted mean of Kα1 and Kα2)), based on a structure optimized by DFT (GGA+U).
Neutral-atom scattering factors, no anomalous dispersion.

Structural model:
a = 5.0445 Å, b = 5.0558 Å, c = 19.3985 Å
α = 85.06°, β = 86.95°, γ = 60.55°
Atoms (fractional coordinates):
Li: 0.0000 0.0000 0.0000
Li: 0.0000 0.5000 0.5000
Li: 0.0011 0.1268 0.6250
Li: 0.0015 0.3768 0.8750
Li: 0.0078 0.2489 0.2500
Li: 0.3194 0.3315 0.9999
Li: 0.3196 0.5897 0.2504
Li: 0.3249 0.0900 0.7506
Li: 0.3247 0.8439 0.5003
Li: 0.6753 0.1561 0.4997
Li: 0.6751 0.9100 0.2494
Li: 0.6804 0.4103 0.7496
Li: 0.6806 0.6685 0.0001
Li: 0.9922 0.7511 0.7500
Li: 0.9985 0.6232 0.1250
Li: 0.9989 0.8732 0.3750
Ti: 0.3320 0.4558 0.6247
Ti: 0.3323 0.7045 0.8748
Ti: 0.6677 0.2955 0.1252
Ti: 0.6680 0.5442 0.3753
Cr: 0.3325 0.9555 0.1249
Cr: 0.3329 0.2058 0.3748
Cr: 0.6671 0.7942 0.6252
Cr: 0.6675 0.0445 0.8751
O: 0.0015 0.4598 0.6832
O: 0.0021 0.7097 0.9332
O: 0.0063 0.2111 0.4322
O: 0.0069 0.9609 0.1822
O: 0.3534 0.1465 0.5682
O: 0.3535 0.9021 0.3191
O: 0.3535 0.2468 0.1809
O: 0.3541 0.4964 0.4312
O: 0.3546 0.3966 0.8177
O: 0.3545 0.6524 0.0689
O: 0.3593 0.0014 0.9309
O: 0.3597 0.7510 0.6812
O: 0.6403 0.2490 0.3188
O: 0.6407 0.9986 0.0691
O: 0.6455 0.3476 0.9311
O: 0.6454 0.6034 0.1823
O: 0.6459 0.5036 0.5688
O: 0.6465 0.7532 0.8191
O: 0.6465 0.0979 0.6809
O: 0.6466 0.8535 0.4318
O: 0.9931 0.0391 0.8178
O: 0.9937 0.7889 0.5678
O: 0.9979 0.2903 0.0668
O: 0.9985 0.5402 0.3168

Top 12 peaks for 5 to 70 degrees two-theta, in order of rising 2θ:
2θ/deg  Rel. int.
18.36  100
20.22  19
21.05  17
21.31  19
23.74  24
35.74  12
36.07  11
36.22  11
43.20  40
43.67  38
43.96  37
63.36  20



(2)
Li2TiCrO4: theoretical powder diffraction line list (Cu Kα (weighted mean of Kα1 and Kα2)), based on a structure optimized by DFT (GGA+U).
Neutral-atom scattering factors, no anomalous dispersion.

Structural model:
a = 5.9229 Å, b = 5.9229 Å, c = 8.7143 Å
α = 90.95°, β = 90.95°, γ = 90.05°
Atoms (fractional coordinates):
Li: 0.1221 0.1221 0.1310
Li: 0.1247 0.6189 0.6270
Li: 0.3709 0.3813 0.3798
Li: 0.3811 0.8753 0.3730
Li: 0.6187 0.6291 0.6202
Li: 0.6227 0.1239 0.1324
Li: 0.8761 0.3773 0.8676
Li: 0.8779 0.8779 0.8690
Ti: 0.1260 0.1181 0.6185
Ti: 0.3721 0.3882 0.8788
Ti: 0.6118 0.6279 0.1212
Ti: 0.8819 0.8740 0.3815
Cr: 0.1170 0.6215 0.1288
Cr: 0.3785 0.8830 0.8712
Cr: 0.6204 0.1320 0.6237
Cr: 0.8680 0.3796 0.3763
O: 0.0972 0.6334 0.3925
O: 0.1059 0.1353 0.3812
O: 0.1336 0.1347 0.8553
O: 0.1465 0.6182 0.8611
O: 0.3666 0.9028 0.6075
O: 0.3718 0.3758 0.1129
O: 0.3735 0.3645 0.6322
O: 0.3818 0.8535 0.1389
O: 0.6125 0.1438 0.8578
O: 0.6242 0.6282 0.8871
O: 0.6355 0.6265 0.3678
O: 0.6405 0.1254 0.3884
O: 0.8562 0.3875 0.1422
O: 0.8653 0.8664 0.1447
O: 0.8647 0.8941 0.6188
O: 0.8746 0.3595 0.6116

Top 12 peaks for 5 to 70 degrees two-theta, in order of rising 2θ:
2θ/deg  Rel. int.
17.97  87
18.25  89
34.16  18
35.21  13
35.48  13
36.41  13
41.46  56
43.21  100
60.65  14
61.41  28
62.24  14
62.76  26



(3)
Li4TiCrO6: theoretical powder diffraction line list (Cu Kα (weighted mean of Kα1 and Kα2)), based on a structure optimized by DFT (GGA+U).
Neutral-atom scattering factors, no anomalous dispersion.

Structural model:
a = 5.0654 Å, b = 8.7679 Å, c = 9.8032 Å
α = 98.38°, β = 94.92°, γ = 90.06°
Atoms (fractional coordinates):
Li: 0.0000 0.0000 0.0000
Li: 0.0030 0.3289 0.9999
Li: 0.0141 0.6553 0.9995
Li: 0.1324 0.4522 0.7485
Li: 0.2486 0.2422 0.4969
Li: 0.2572 0.5801 0.4974
Li: 0.2676 0.9102 0.4988
Li: 0.3821 0.7005 0.2485
Li: 0.4990 0.4979 0.9979
Li: 0.5078 0.8292 0.9975
Li: 0.5177 0.1546 0.9972
Li: 0.6321 0.9531 0.7488
Li: 0.7447 0.7430 0.4990
Li: 0.7521 0.0802 0.5004
Li: 0.7682 0.4114 0.5010
Li: 0.8816 0.2004 0.2492
Ti: 0.1259 0.7858 0.7452
Ti: 0.1368 0.1204 0.7526
Ti: 0.3831 0.3710 0.2492
Ti: 0.8828 0.8712 0.2500
Cr: 0.3813 0.0345 0.2479
Cr: 0.6247 0.6169 0.7480
Cr: 0.6384 0.2889 0.7500
Cr: 0.8815 0.5346 0.2487
O: 0.0430 0.7184 0.3607
O: 0.0744 0.4035 0.3636
O: 0.0756 0.0433 0.3633
O: 0.1880 0.5045 0.1320
O: 0.1924 0.8655 0.1367
O: 0.2216 0.1817 0.1371
O: 0.2925 0.9715 0.8632
O: 0.3332 0.2953 0.8612
O: 0.3380 0.6485 0.8636
O: 0.4308 0.7565 0.6327
O: 0.4380 0.1163 0.6374
O: 0.4692 0.4404 0.6375
O: 0.5428 0.2184 0.3603
O: 0.5733 0.9035 0.3632
O: 0.5751 0.5428 0.3632
O: 0.6890 0.0045 0.1322
O: 0.6926 0.3659 0.1369
O: 0.7223 0.6815 0.1375
O: 0.7948 0.4648 0.8604
O: 0.8273 0.7891 0.8611
O: 0.8332 0.1496 0.8654
O: 0.9267 0.2578 0.6343
O: 0.9312 0.6102 0.6372
O: 0.9710 0.9346 0.6343

Top 12 peaks for 5 to 70 degrees two-theta, in order of rising 2θ:
2θ/deg  Rel. int.
18.36  88
20.24  17
21.19  31
23.69  21
27.46  13
36.01  29
43.61  100
57.46  8
63.04  17
63.22  9
63.66  25
66.83  8



(4)
Li3TiCr2O6: theoretical powder diffraction line list (Cu Kα (weighted mean of Kα1 and Kα2)), based on a structure optimized by DFT (GGA+U).
Neutral-atom scattering factors, no anomalous dispersion.

Structural model:
a = 6.6575 Å, b = 6.6575 Å, c = 5.9938 Å
α = 103.70°, β = 103.70°, γ = 25.63°
Atoms (fractional coordinates):
Li: 0.0000 0.0000 0.0000
Li: 0.3316 0.3316 0.6702
Li: 0.6684 0.6684 0.3298
Ti: 0.0000 0.0000 0.5000
Cr: 0.3344 0.3344 0.1673
Cr: 0.6656 0.6656 0.8327
O: 0.1624 0.1624 0.5956
O: 0.1732 0.1732 0.0676
O: 0.4963 0.4963 0.2546
O: 0.5037 0.5037 0.7454
O: 0.8268 0.8268 0.9324
O: 0.8376 0.8376 0.4044

Top 12 peaks for 5 to 70 degrees two-theta, in order of rising 2θ:
2θ/deg  Rel. int.
18.08  100
35.58  40
37.22  7
43.03  86
46.88  4
47.10  9
56.57  9
61.93  8
62.20  15
62.81  15
62.93  8
66.05  9